Structure and calculated X-ray powder pattern of Na2LuPWO8 (the GGA+U geometry in Alexandria; Cu Kα (λ = 1.5418 Å)).
Peak positions follow from Bragg's law for the DFT cell and can differ from measured ones.

Largest 10 diffraction maxima, in order of rising 2θ, 2θ from 10° to 90°:
| 2theta | I (rel.) |
| --- | --- |
| 14.66 | 97 |
| 17.82 | 90 |
| 20.23 | 37 |
| 24.60 | 64 |
| 27.51 | 57 |
| 27.94 | 100 |
| 29.36 | 52 |
| 32.79 | 63 |
| 35.68 | 40 |
| 50.46 | 38 |

Structure:
a b c (Å): 6.8180 12.0832 18.2549
angles (deg): 90.00 90.00 90.00
Space group Ibca (No. 73)
One atom of each set of equivalent atoms:
Na  0.0009  0.0573  0.1547 (multiplicity 16)
Lu  0.2500  0.1778  0.5000 (multiplicity 8)
P  0.2500  0.0686  0.0000 (multiplicity 8)
W  0.0000  0.2500  0.3252 (multiplicity 8)
O  0.0451  0.1281  0.7706 (multiplicity 16)
O  0.0726  0.1495  0.0059 (multiplicity 16)
O  0.2169  0.2242  0.3819 (multiplicity 16)
O  0.2425  0.0083  0.5677 (multiplicity 16)